This entry pairs a crystal structure of SrCaCr4O12 with its calculated powder X-ray diffraction pattern. Radiation: copper Kα. Structure: a DFT-relaxed cell (PBE+U, the Materials Project).

Structural model:
abc: 7.512 5.319 5.319
angles: 90.73 90.00 90.00
Fractional positions:
Sr 0.000 0.000 0.000
Ca 0.500 0.525 0.525
Cr 0.252 0.012 0.506
Cr 0.252 0.506 0.012
Cr 0.748 0.012 0.506
Cr 0.748 0.506 0.012
O 0.000 0.040 0.493
O 0.000 0.493 0.040
O 0.226 0.734 0.734
O 0.255 0.241 0.784
O 0.255 0.784 0.241
O 0.284 0.294 0.294
O 0.500 0.533 0.975
O 0.500 0.975 0.533
O 0.716 0.294 0.294
O 0.745 0.241 0.784
O 0.745 0.784 0.241
O 0.774 0.734 0.734

Largest 10 diffraction maxima, by angle, 5° ≤ 2θ ≤ 70°:
2θ = 20.5°, intensity 77
2θ = 23.5°, intensity 19
2θ = 23.7°, intensity 19
2θ = 23.8°, intensity 19
2θ = 33.7°, intensity 100
2θ = 33.8°, intensity 45
2θ = 48.1°, intensity 27
2θ = 48.5°, intensity 27
2θ = 48.7°, intensity 26
2θ = 60.3°, intensity 19

This entry pairs a crystal structure of SrCaZrCrO6 with its calculated powder X-ray diffraction pattern. Radiation: copper Kα. Structure: a DFT-relaxed cell (PBE+U, the Materials Project).

Structural model:
abc: 5.670 5.670 5.670
angles: 60.00 60.00 60.00
Fractional positions:
Sr 0.000 0.000 0.000
Ca 0.500 0.500 0.500
Zr 0.250 0.250 0.250
Cr 0.750 0.750 0.750
O 0.509 0.509 0.991
O 0.509 0.991 0.509
O 0.509 0.991 0.991
O 0.991 0.509 0.509
O 0.991 0.509 0.991
O 0.991 0.991 0.509

Largest 10 diffraction maxima, by angle, 5° ≤ 2θ ≤ 70°:
2θ = 19.2°, intensity 12
2θ = 22.2°, intensity 6
2θ = 31.6°, intensity 100
2θ = 37.2°, intensity 8
2θ = 38.9°, intensity 4
2θ = 45.2°, intensity 41
2θ = 49.5°, intensity 4
2θ = 56.2°, intensity 37
2θ = 59.9°, intensity 3
2θ = 65.9°, intensity 23

This entry pairs a crystal structure of Ca2TaCrO6 with its calculated powder X-ray diffraction pattern. Radiation: copper Kα. Structure: a DFT-relaxed cell (PBE+U, the Materials Project).

Structural model:
abc: 5.470 5.589 9.518
angles: 90.00 124.95 90.00
Fractional positions:
Ca 0.238 0.045 0.248
Ca 0.238 0.455 0.748
Ca 0.762 0.545 0.252
Ca 0.762 0.955 0.752
Ta 0.500 0.000 0.000
Ta 0.500 0.500 0.500
Cr 0.000 0.000 0.500
Cr 0.000 0.500 0.000
O 0.164 0.206 0.956
O 0.164 0.294 0.456
O 0.249 0.710 0.953
O 0.249 0.790 0.453
O 0.338 0.025 0.751
O 0.338 0.475 0.251
O 0.662 0.525 0.749
O 0.662 0.975 0.249
O 0.751 0.210 0.547
O 0.751 0.290 0.047
O 0.836 0.706 0.544
O 0.836 0.794 0.044

Largest 10 diffraction maxima, by angle, 5° ≤ 2θ ≤ 70°:
2θ = 19.5°, intensity 34
2θ = 19.8°, intensity 32
2θ = 22.8°, intensity 70
2θ = 32.0°, intensity 25
2θ = 32.4°, intensity 100
2θ = 32.7°, intensity 23
2θ = 46.5°, intensity 30
2θ = 52.4°, intensity 16
2θ = 57.3°, intensity 18
2θ = 58.2°, intensity 17

This entry pairs a crystal structure of Ca2TaCrO6 with its calculated powder X-ray diffraction pattern. Radiation: copper Kα. Structure: a DFT-relaxed cell (PBE+U, the Materials Project).

Structural model:
abc: 5.452 7.823 5.608
angles: 90.00 90.20 90.00
Fractional positions:
Ca 0.009 0.250 0.039
Ca 0.489 0.250 0.564
Ca 0.511 0.750 0.436
Ca 0.991 0.750 0.961
Ta 0.000 0.000 0.500
Ta 0.000 0.500 0.500
Cr 0.500 0.000 0.000
Cr 0.500 0.500 0.000
O 0.088 0.750 0.526
O 0.201 0.046 0.788
O 0.201 0.454 0.788
O 0.291 0.044 0.298
O 0.291 0.456 0.298
O 0.408 0.750 0.029
O 0.592 0.250 0.971
O 0.709 0.544 0.702
O 0.709 0.956 0.702
O 0.799 0.546 0.212
O 0.799 0.954 0.212
O 0.912 0.250 0.474

Largest 10 diffraction maxima, by angle, 5° ≤ 2θ ≤ 70°:
2θ = 15.8°, intensity 26
2θ = 16.3°, intensity 26
2θ = 22.7°, intensity 70
2θ = 27.8°, intensity 15
2θ = 31.9°, intensity 25
2θ = 32.4°, intensity 100
2θ = 32.9°, intensity 23
2θ = 46.4°, intensity 30
2θ = 46.5°, intensity 14
2θ = 52.3°, intensity 17

This entry pairs a crystal structure of Ca2Ta2CrO8 with its calculated powder X-ray diffraction pattern. Radiation: copper Kα. Structure: a DFT-relaxed cell (PBE+U, the Materials Project).

Structural model:
abc: 5.433 6.557 9.957
angles: 105.15 91.54 91.94
Fractional positions:
Ca 0.000 0.000 0.000
Ca 0.009 0.578 0.161
Ca 0.498 0.333 0.006
Ca 0.507 0.912 0.167
Ta 0.005 0.179 0.353
Ta 0.502 0.731 0.814
Ta 0.514 0.466 0.353
Ta 0.994 0.445 0.813
Cr 0.012 0.806 0.578
Cr 0.498 0.104 0.588
O 0.090 0.312 0.957
O 0.160 0.031 0.471
O 0.187 0.466 0.437
O 0.237 0.717 0.952
O 0.270 0.195 0.214
O 0.321 0.445 0.730
O 0.349 0.880 0.695
O 0.417 0.600 0.210
O 0.594 0.992 0.954
O 0.669 0.231 0.436
O 0.701 0.698 0.457
O 0.734 0.585 0.950
O 0.773 0.325 0.217
O 0.808 0.212 0.709
O 0.839 0.680 0.731
O 0.913 0.919 0.212

Largest 10 diffraction maxima, by angle, 5° ≤ 2θ ≤ 70°:
2θ = 14.6°, intensity 58
2θ = 18.5°, intensity 100
2θ = 26.1°, intensity 55
2θ = 27.7°, intensity 50
2θ = 30.2°, intensity 52
2θ = 31.5°, intensity 76
2θ = 31.6°, intensity 44
2θ = 32.1°, intensity 49
2θ = 32.4°, intensity 60
2θ = 33.0°, intensity 71

This entry pairs a crystal structure of Ca4Cr5Te3O18 with its calculated powder X-ray diffraction pattern. Radiation: copper Kα. Structure: a DFT-relaxed cell (PBE+U, the Materials Project).

Structural model:
abc: 9.060 9.060 10.921
angles: 97.79 97.79 67.41
Fractional positions:
Ca 0.015 0.394 0.105
Ca 0.036 0.036 0.256
Ca 0.280 0.283 0.388
Ca 0.303 0.626 0.239
Ca 0.374 0.697 0.761
Ca 0.606 0.985 0.895
Ca 0.717 0.720 0.612
Ca 0.964 0.964 0.744
Cr 0.119 0.210 0.811
Cr 0.185 0.481 0.692
Cr 0.375 0.352 0.955
Cr 0.512 0.488 0.500
Cr 0.519 0.815 0.308
Cr 0.648 0.625 0.045
Cr 0.681 0.036 0.466
Cr 0.790 0.881 0.189
Cr 0.806 0.194 0.000
Cr 0.964 0.319 0.534
Te 0.315 0.003 0.580
Te 0.322 0.001 0.079
Te 0.667 0.321 0.260
Te 0.679 0.333 0.740
Te 0.997 0.685 0.420
Te 0.999 0.678 0.921
O 0.021 0.795 0.276
O 0.034 0.150 0.948
O 0.056 0.493 0.314
O 0.065 0.454 0.839
O 0.090 0.171 0.424
O 0.120 0.705 0.789
O 0.204 0.245 0.646
O 0.205 0.979 0.724
O 0.239 0.191 0.183
O 0.249 0.491 0.062
O 0.292 0.536 0.565
O 0.295 0.880 0.211
O 0.329 0.169 0.914
O 0.386 0.431 0.811
O 0.443 0.397 0.340
O 0.464 0.708 0.435
O 0.469 0.025 0.428
O 0.507 0.944 0.686
O 0.509 0.751 0.938
O 0.546 0.935 0.161
O 0.569 0.614 0.189
O 0.574 0.242 0.027
O 0.603 0.557 0.660
O 0.606 0.255 0.573
O 0.739 0.125 0.824
O 0.745 0.394 0.427
O 0.746 0.094 0.307
O 0.755 0.796 0.354
O 0.758 0.426 0.973
O 0.809 0.761 0.817
O 0.829 0.910 0.576
O 0.831 0.671 0.086
O 0.850 0.966 0.052
O 0.875 0.261 0.176
O 0.906 0.254 0.693
O 0.975 0.531 0.572

Largest 10 diffraction maxima, by angle, 5° ≤ 2θ ≤ 70°:
2θ = 20.0°, intensity 86
2θ = 21.9°, intensity 47
2θ = 26.8°, intensity 35
2θ = 28.3°, intensity 50
2θ = 31.2°, intensity 19
2θ = 31.5°, intensity 100
2θ = 32.3°, intensity 54
2θ = 33.5°, intensity 36
2θ = 44.7°, intensity 21
2θ = 46.0°, intensity 30

Copy entry 1 word for word.
This entry pairs a crystal structure of SrCaCr4O12 with its calculated powder X-ray diffraction pattern. Radiation: copper Kα. Structure: a DFT-relaxed cell (PBE+U, the Materials Project).

Structural model:
abc: 7.512 5.319 5.319
angles: 90.73 90.00 90.00
Fractional positions:
Sr 0.000 0.000 0.000
Ca 0.500 0.525 0.525
Cr 0.252 0.012 0.506
Cr 0.252 0.506 0.012
Cr 0.748 0.012 0.506
Cr 0.748 0.506 0.012
O 0.000 0.040 0.493
O 0.000 0.493 0.040
O 0.226 0.734 0.734
O 0.255 0.241 0.784
O 0.255 0.784 0.241
O 0.284 0.294 0.294
O 0.500 0.533 0.975
O 0.500 0.975 0.533
O 0.716 0.294 0.294
O 0.745 0.241 0.784
O 0.745 0.784 0.241
O 0.774 0.734 0.734

Largest 10 diffraction maxima, by angle, 5° ≤ 2θ ≤ 70°:
2θ = 20.5°, intensity 77
2θ = 23.5°, intensity 19
2θ = 23.7°, intensity 19
2θ = 23.8°, intensity 19
2θ = 33.7°, intensity 100
2θ = 33.8°, intensity 45
2θ = 48.1°, intensity 27
2θ = 48.5°, intensity 27
2θ = 48.7°, intensity 26
2θ = 60.3°, intensity 19